The following is a theoretical X-ray diffraction stick pattern of Hg2AsCl2. It was derived from the PBE geometry in the Materials Project, using copper Kα.
Peak positions follow from Bragg's law for the DFT cell and can differ from measured ones.

Structural model:
```
data_Hg2AsCl2
_chemical_formula_sum 'Hg16 As8 Cl16'
_space_group_name_H-M_alt 'C 1 2/m 1'
_space_group_IT_number 12
_cell_length_a 14.299
_cell_length_b 8.499
_cell_length_c 9.215
_cell_angle_alpha 90.00
_cell_angle_beta 99.16
_cell_angle_gamma 90.00
loop_
_space_group_symop_operation_xyz
'x,y,z'
'-x,-y,-z'
'-x,y,-z'
'x,-y,z'
'x+1/2,y+1/2,z'
'-x+1/2,-y+1/2,-z'
'-x+1/2,y+1/2,-z'
'x+1/2,-y+1/2,z'
loop_
_atom_site_label
_atom_site_type_symbol
_atom_site_fract_x
_atom_site_fract_y
_atom_site_fract_z
Hg1 Hg 0.022 0.246 0.258
Hg2 Hg 0.217 0.000 0.990
Hg3 Hg 0.224 0.500 0.547
As1 As 0.040 0.000 0.891
As2 As 0.054 0.500 0.409
Cl1 Cl 0.111 0.000 0.510
Cl2 Cl 0.111 0.500 0.980
Cl3 Cl 0.228 0.220 0.239
```

Top 6 peaks for 2θ from 15° to 90°, by intensity:
| (hkl) | 2theta | I/Imax |
| --- | --- | --- |
| 0 2 2 | 28.7 | 100 |
| 2 0 -2 | 21.5 | 49 |
| 2 2 0 | 24.5 | 49 |
| 4 0 0 | 25.2 | 36 |
| 4 2 2 | 40.7 | 26 |
| 0 4 0 | 42.6 | 24 |